Record 1
Diffraction record for CsEuBr3. The X-ray powder pattern is simulated, not measured: it uses a structure optimized by DFT (GGA-PBE) and CuKα.
No peak broadening, texture or thermal motion is included.

Main lines, in order of rising 2θ (2θ from 10° to 90°):
| 2theta | Rel. int. |
| --- | --- |
| 21.17 | 100 |
| 21.36 | 22 |
| 25.96 | 21 |
| 26.12 | 19 |
| 29.97 | 54 |
| 30.25 | 89 |
| 37.10 | 38 |
| 37.33 | 36 |
| 43.11 | 71 |
| 58.15 | 19 |

Structure:
```
CsEuBr3
1.0
8.394 0.000 0.000
0.000 11.925 0.000
0.000 0.000 8.319
Cs Eu Br
4 4 12
direct
0.035 0.250 0.007
0.465 0.750 0.507
0.535 0.250 0.493
0.965 0.750 0.993
0.000 0.000 0.500
0.000 0.500 0.500
0.500 0.000 0.000
0.500 0.500 0.000
0.009 0.750 0.444
0.206 0.529 0.795
0.206 0.971 0.795
0.294 0.029 0.295
0.294 0.471 0.295
0.491 0.250 0.944
0.509 0.750 0.056
0.706 0.529 0.705
0.706 0.971 0.705
0.794 0.029 0.205
0.794 0.471 0.205
0.991 0.250 0.556
```

Record 2
Diffraction record for Li6PS5I. The X-ray powder pattern is simulated, not measured: it uses a structure optimized by DFT (GGA-PBE) and CuKα.
No peak broadening, texture or thermal motion is included.

Main lines, in order of rising 2θ (2θ from 10° to 90°):
| 2theta | Rel. int. |
| --- | --- |
| 17.13 | 56 |
| 24.32 | 100 |
| 28.60 | 98 |
| 29.90 | 47 |
| 42.79 | 40 |
| 45.53 | 39 |
| 49.82 | 44 |
| 56.19 | 17 |
| 67.73 | 22 |
| 69.77 | 19 |

Structure:
```
Li6PS5I
1.0
0.000 5.177 5.177
5.177 0.000 5.177
5.177 5.177 0.000
Li P S I
6 1 5 1
direct
0.227 0.227 0.773
0.227 0.773 0.227
0.227 0.773 0.773
0.773 0.227 0.227
0.773 0.227 0.773
0.773 0.773 0.227
0.250 0.250 0.250
0.000 0.000 0.000
0.365 0.365 0.365
0.365 0.365 0.906
0.365 0.906 0.365
0.906 0.365 0.365
0.750 0.750 0.750
```

Record 3
Diffraction record for AgBiSe2. The X-ray powder pattern is simulated, not measured: it uses a structure optimized by DFT (GGA-PBE) and CuKα.
No peak broadening, texture or thermal motion is included.

Main lines, in order of rising 2θ (2θ from 10° to 90°):
| 2theta | Rel. int. |
| --- | --- |
| 15.03 | 6 |
| 26.22 | 21 |
| 30.37 | 100 |
| 43.48 | 75 |
| 51.48 | 11 |
| 53.95 | 26 |
| 63.21 | 8 |
| 71.67 | 23 |
| 71.74 | 11 |
| 79.81 | 26 |

Structure:
```
AgBiSe2
1.0
4.160 0.000 0.000
0.000 4.160 0.000
0.000 0.000 5.893
Ag Bi Se
1 1 2
direct
0.000 0.000 0.000
0.500 0.500 0.500
0.000 0.000 0.500
0.500 0.500 0.000
```

Record 4
Diffraction record for CoPb3. The X-ray powder pattern is simulated, not measured: it uses a structure optimized by DFT (GGA-PBE) and CuKα.
No peak broadening, texture or thermal motion is included.

Main lines, in order of rising 2θ (2θ from 10° to 90°):
| 2theta | Rel. int. |
| --- | --- |
| 23.90 | 41 |
| 24.20 | 44 |
| 24.40 | 47 |
| 27.86 | 53 |
| 31.95 | 36 |
| 34.91 | 100 |
| 35.12 | 96 |
| 35.27 | 93 |
| 44.53 | 29 |
| 44.92 | 29 |

Structure:
```
CoPb3
1.0
8.414 0.000 0.000
0.000 3.552 0.000
-4.134 0.000 7.448
Co Pb
2 6
direct
0.000 0.000 0.000
0.336 0.500 0.670
0.059 0.000 0.529
0.279 0.500 0.141
0.471 0.000 0.941
0.473 0.000 0.528
0.862 0.500 0.143
0.864 0.500 0.727
```